Starting from a structure optimized by DFT (PBE), the X-ray diffraction stick pattern of KMgAs3 was calculated for λ = 1.5418 Å (Cu Kα).
Peak positions follow from Bragg's law for the DFT cell and can differ from measured ones.

Structure:
```
data_KMgAs3
_cell_length_a 5.134
_cell_length_b 5.134
_cell_length_c 5.134
_cell_angle_alpha 90.00
_cell_angle_beta 90.00
_cell_angle_gamma 90.00
_space_group_name_H-M_alt 'P m -3 m'
_space_group_IT_number 221
_space_group_name_Hall '-P 4 2 3'
loop_
_atom_site_label
_atom_site_type_symbol
_atom_site_fract_x
_atom_site_fract_y
_atom_site_fract_z
K1 K 0.000 0.000 0.000
Mg1 Mg 0.500 0.500 0.500
As1 As 0.000 0.500 0.500
```

Top 8 peaks for 2θ = 10–90°, in order of falling intensity:
Position (°2θ), Rel. int.
30.15, 100
34.95, 73
50.27, 50
59.74, 40
84.37, 22
17.27, 18
62.69, 17
81.77, 16